Calculated XRD peak list
Compound: PrNdZn2Pb2
Radiation: CuKα
Structure: the PBE geometry in OQMD
Intensities are scaled so that the largest is 100.

Principal peaks in the range 2θ = 15–90°, by angle:
2θ (°), d [Å], Rel. int., (hkl)
27.26, 3.272, 43, 1 0 3
30.81, 2.902, 100, 1 0 4
38.47, 2.340, 71, 1 1 0
44.19, 2.050, 27, 1 0 7
50.07, 1.822, 26, 2 0 4
64.86, 1.438, 24, 2 1 4

Structure:
```
data_PrNdZn2Pb2
_cell_length_a 4.6803
_cell_length_b 4.6803
_cell_length_c 16.6311
_cell_angle_alpha 90.00
_cell_angle_beta 90.00
_cell_angle_gamma 120.00
_symmetry_space_group_name_H-M 'P 63/m m c'
_symmetry_Int_Tables_number 194
_symmetry_space_group_name_Hall '-P 6c 2c'
loop_
_atom_site_label
_atom_site_type_symbol
_atom_site_fract_x
_atom_site_fract_y
_atom_site_fract_z
Pr1 Pr 0.0000 0.0000 0.2500
Nd1 Nd 0.0000 0.0000 0.0000
Zn1 Zn 0.3333 0.6667 0.1624
Pb1 Pb 0.3333 0.6667 0.6120
```